Theoretical X-ray powder pattern of U3NbC4 for Cu Ka, from the PBE geometry in Alexandria.
Intensities are scaled so that the largest is 100.

```
data_U3NbC4
_chemical_formula_sum 'U6 Nb2 C8'
_cell_length_a 5.9725
_cell_length_b 6.8349
_cell_length_c 5.8199
_cell_angle_alpha 90.00
_cell_angle_beta 109.53
_cell_angle_gamma 90.00
_space_group_name_H-M_alt 'P 1'
_space_group_IT_number 1
_space_group_name_Hall 'P 1'
loop_
_atom_site_label
_atom_site_fract_x
_atom_site_fract_y
_atom_site_fract_z
U1 0.0000 0.1198 0.2500
U2 0.0000 0.3690 0.7500
U3 0.0000 0.6310 0.2500
U4 0.0000 0.8802 0.7500
U5 0.5000 0.3750 0.2500
U6 0.5000 0.6250 0.7500
Nb1 0.5000 0.1196 0.7500
Nb2 0.5000 0.8804 0.2500
C1 0.2606 0.3591 0.5111
C2 0.2606 0.6409 0.0111
C3 0.2693 0.1185 0.0020
C4 0.2693 0.8815 0.5020
C5 0.7307 0.1185 0.4980
C6 0.7307 0.8815 0.9980
C7 0.7394 0.3591 0.9889
C8 0.7394 0.6409 0.4889
```

Principal peaks in the range 10 to 90 degrees two-theta, sorted by position:
two_theta, I/Imax
31.8, 41.0
32.1, 79.6
32.7, 38.3
37.3, 100.0
53.3, 23.9
54.4, 22.5
63.7, 24.2
64.1, 12.1
64.2, 12.1
67.2, 12.0



Theoretical X-ray powder pattern of UNb5C5 for Cu Ka, from the PBE geometry in Alexandria.
Intensities are scaled so that the largest is 100.

```
data_UNb5C5
_chemical_formula_sum 'U1 Nb5 C5'
_cell_length_a 5.6222
_cell_length_b 5.6222
_cell_length_c 6.4493
_cell_angle_alpha 106.81
_cell_angle_beta 106.81
_cell_angle_gamma 48.03
_space_group_name_H-M_alt 'P 1'
_space_group_IT_number 1
_space_group_name_Hall 'P 1'
loop_
_atom_site_label
_atom_site_fract_x
_atom_site_fract_y
_atom_site_fract_z
U1 0.0000 0.0000 0.0000
Nb1 0.0000 0.0000 0.5000
Nb2 0.3207 0.3207 0.6618
Nb3 0.3272 0.3272 0.1606
Nb4 0.6728 0.6728 0.8394
Nb5 0.6793 0.6793 0.3382
C1 0.1657 0.1657 0.3379
C2 0.1689 0.1689 0.8272
C3 0.5000 0.5000 0.0000
C4 0.8311 0.8311 0.1728
C5 0.8343 0.8343 0.6621
```

Principal peaks in the range 10 to 90 degrees two-theta, sorted by position:
two_theta, I/Imax
14.5, 17.4
21.5, 19.0
33.8, 99.2
34.0, 100.0
39.3, 89.1
39.4, 43.9
56.9, 58.2
67.9, 26.4
68.0, 27.3
71.6, 14.7



Theoretical X-ray powder pattern of UNb2WC4 for Cu Ka, from the PBE geometry in Alexandria.
Intensities are scaled so that the largest is 100.

```
data_UNb2WC4
_chemical_formula_sum 'U2 Nb4 W2 C8'
_cell_length_a 5.9519
_cell_length_b 5.9519
_cell_length_c 11.2262
_cell_angle_alpha 90.00
_cell_angle_beta 90.00
_cell_angle_gamma 148.49
_space_group_name_H-M_alt 'P 1'
_space_group_IT_number 1
_space_group_name_Hall 'P 1'
loop_
_atom_site_label
_atom_site_fract_x
_atom_site_fract_y
_atom_site_fract_z
U1 0.1190 0.8810 0.7500
U2 0.8810 0.1190 0.2500
Nb1 0.3712 0.6288 0.5347
Nb2 0.3712 0.6288 0.9653
Nb3 0.6288 0.3712 0.0347
Nb4 0.6288 0.3712 0.4653
W1 0.1468 0.8532 0.2500
W2 0.8532 0.1468 0.7500
C1 0.0000 0.0000 0.0000
C2 0.0000 0.0000 0.5000
C3 0.2643 0.7357 0.1169
C4 0.2643 0.7357 0.3831
C5 0.4629 0.5371 0.7500
C6 0.5371 0.4629 0.2500
C7 0.7357 0.2643 0.6169
C8 0.7357 0.2643 0.8831
```

Principal peaks in the range 10 to 90 degrees two-theta, sorted by position:
two_theta, I/Imax
15.8, 52.0
31.2, 57.8
31.9, 54.8
32.9, 100.0
39.9, 89.2
45.2, 37.8
51.5, 21.4
62.3, 15.2
66.1, 17.3
75.6, 17.0